Entry 1:
For KRbCuF4, a cell relaxed with GGA-PBE gives the computed PXRD pattern in this record (λ = 1.5418 Å (Cu Kα)).

Unit cell a=7.300 b=7.300 c=5.908 alpha=90.00 beta=90.00 gamma=132.28
Positions (direct):
K: 0.110 0.890 0.750
K: 0.890 0.110 0.250
Rb: 0.397 0.603 0.750
Rb: 0.603 0.397 0.250
Cu: 0.248 0.752 0.250
Cu: 0.752 0.248 0.750
F: 0.000 0.500 0.000
F: 0.000 0.500 0.500
F: 0.098 0.902 0.250
F: 0.396 0.604 0.250
F: 0.500 0.000 0.000
F: 0.500 0.000 0.500
F: 0.604 0.396 0.750
F: 0.902 0.098 0.750

Largest 10 diffraction maxima, low angle first, 15° ≤ 2θ ≤ 90°:
| d_spacing | 2theta | I (rel.) |
| --- | --- | --- |
| 3.046 | 29.32 | 100 |
| 2.954 | 30.26 | 82 |
| 2.250 | 40.08 | 15 |
| 2.225 | 40.54 | 23 |
| 2.212 | 40.79 | 22 |
| 2.088 | 43.32 | 56 |
| 1.777 | 51.41 | 19 |
| 1.722 | 53.18 | 37 |
| 1.523 | 60.82 | 24 |
| 1.477 | 62.94 | 16 |

Entry 2:
For K4RbCu3F12, a cell relaxed with GGA-PBE gives the computed PXRD pattern in this record (λ = 1.5418 Å (Cu Kα)).

Unit cell a=7.811 b=7.811 c=7.811 alpha=109.47 beta=109.47 gamma=109.47
Positions (direct):
K: 0.000 0.000 0.500
K: 0.000 0.500 0.000
K: 0.500 0.000 0.000
K: 0.500 0.500 0.500
Rb: 0.000 0.000 0.000
Cu: 0.000 0.500 0.500
Cu: 0.500 0.000 0.500
Cu: 0.500 0.500 0.000
F: 0.142 0.491 0.350
F: 0.142 0.792 0.650
F: 0.208 0.350 0.858
F: 0.350 0.142 0.491
F: 0.350 0.858 0.208
F: 0.491 0.350 0.142
F: 0.509 0.650 0.858
F: 0.650 0.142 0.792
F: 0.650 0.858 0.509
F: 0.792 0.650 0.142
F: 0.858 0.208 0.350
F: 0.858 0.509 0.650

Largest 10 diffraction maxima, low angle first, 15° ≤ 2θ ≤ 90°:
| d_spacing | 2theta | I (rel.) |
| --- | --- | --- |
| 4.510 | 19.68 | 18 |
| 3.189 | 27.98 | 100 |
| 2.852 | 31.36 | 16 |
| 2.255 | 39.98 | 17 |
| 1.841 | 49.51 | 52 |
| 1.594 | 57.83 | 10 |
| 1.503 | 61.70 | 8 |
| 1.426 | 65.44 | 19 |
| 1.302 | 72.62 | 7 |
| 1.205 | 79.52 | 17 |